BaCo2GeN: simulated PXRD pattern (Cu Kα), based on a DFT-relaxed cell (PBE, Alexandria).
Neutral-atom scattering factors, no anomalous dispersion.

Peak list (10 most intense, 2θ = 5–70°, by angle)
2θ 32.10, I = 26; 2θ 34.44, I = 100; 2θ 34.70, I = 94; 2θ 34.90, I = 51; 2θ 42.53, I = 61; 2θ 45.58, I = 16; 2θ 51.50, I = 19; 2θ 56.13, I = 25; 2θ 62.12, I = 15; 2θ 62.62, I = 19

Atomic structure:
Unit cell a=5.934 b=5.934 c=6.901 alpha=90.00 beta=90.00 gamma=138.01
Sites, in units of the cell vectors:
Ba  0.058  0.942  0.750
Ba  0.942  0.058  0.250
Co  0.347  0.653  0.561
Co  0.347  0.653  0.939
Co  0.653  0.347  0.061
Co  0.653  0.347  0.439
Ge  0.225  0.775  0.250
Ge  0.775  0.225  0.750
N  0.500  0.500  0.000
N  0.500  0.500  0.500

=====

BaCo2H8: simulated PXRD pattern (Cu Kα), based on a DFT-relaxed cell (PBE, Alexandria).
Neutral-atom scattering factors, no anomalous dispersion.

Peak list (10 most intense, 2θ = 5–70°, by angle)
2θ 21.34, I = 14; 2θ 28.68, I = 100; 2θ 29.42, I = 53; 2θ 36.82, I = 24; 2θ 38.43, I = 21; 2θ 38.58, I = 40; 2θ 47.81, I = 26; 2θ 54.27, I = 14; 2θ 55.58, I = 26; 2θ 64.64, I = 12

Atomic structure:
Unit cell a=4.674 b=4.674 c=4.685 alpha=90.00 beta=90.00 gamma=117.03
Sites, in units of the cell vectors:
Ba  0.000  0.000  0.000
Co  0.328  0.672  0.473
Co  0.672  0.328  0.473
H  0.019  0.323  0.502
H  0.319  0.681  0.146
H  0.323  0.019  0.502
H  0.500  0.500  0.286
H  0.500  0.500  0.689
H  0.677  0.981  0.502
H  0.681  0.319  0.146
H  0.981  0.677  0.502

=====

Ba2NaCoH6: simulated PXRD pattern (Cu Kα), based on a DFT-relaxed cell (PBE, Alexandria).
Neutral-atom scattering factors, no anomalous dispersion.

Peak list (10 most intense, 2θ = 5–70°, by angle)
2θ 15.93, I = 23; 2θ 24.32, I = 100; 2θ 31.89, I = 70; 2θ 35.84, I = 16; 2θ 37.24, I = 43; 2θ 40.50, I = 28; 2θ 49.82, I = 19; 2θ 52.45, I = 24; 2θ 56.82, I = 13; 2θ 60.38, I = 21

Atomic structure:
Unit cell a=5.613 b=5.613 c=5.563 alpha=90.00 beta=90.00 gamma=120.00
Sites, in units of the cell vectors:
Ba  0.333  0.667  0.314
Ba  0.667  0.333  0.686
Na  0.000  0.000  0.000
Co  0.000  0.000  0.500
H  0.139  0.279  0.667
H  0.139  0.861  0.667
H  0.279  0.139  0.333
H  0.721  0.861  0.667
H  0.861  0.139  0.333
H  0.861  0.721  0.333

=====

BaCoNi2H8: simulated PXRD pattern (Cu Kα), based on a DFT-relaxed cell (PBE, Alexandria).
Neutral-atom scattering factors, no anomalous dispersion.

Peak list (10 most intense, 2θ = 5–70°, by angle)
2θ 23.46, I = 51; 2θ 24.94, I = 29; 2θ 29.24, I = 52; 2θ 30.20, I = 100; 2θ 33.65, I = 60; 2θ 40.30, I = 100; 2θ 50.56, I = 65; 2θ 51.17, I = 22; 2θ 55.46, I = 36; 2θ 67.07, I = 19

Atomic structure:
Unit cell a=6.633 b=6.633 c=6.633 alpha=39.44 beta=39.44 gamma=39.44
Sites, in units of the cell vectors:
Ba  0.000  0.000  0.000
Co  0.500  0.500  0.500
Ni  0.194  0.194  0.194
Ni  0.806  0.806  0.806
H  0.158  0.804  0.418
H  0.196  0.582  0.842
H  0.282  0.282  0.282
H  0.418  0.158  0.804
H  0.582  0.842  0.196
H  0.718  0.718  0.718
H  0.804  0.418  0.158
H  0.842  0.196  0.582

=====

Copy entry 1 word for word.
BaCo2GeN: simulated PXRD pattern (Cu Kα), based on a DFT-relaxed cell (PBE, Alexandria).
Neutral-atom scattering factors, no anomalous dispersion.

Peak list (10 most intense, 2θ = 5–70°, by angle)
2θ 32.10, I = 26; 2θ 34.44, I = 100; 2θ 34.70, I = 94; 2θ 34.90, I = 51; 2θ 42.53, I = 61; 2θ 45.58, I = 16; 2θ 51.50, I = 19; 2θ 56.13, I = 25; 2θ 62.12, I = 15; 2θ 62.62, I = 19

Atomic structure:
Unit cell a=5.934 b=5.934 c=6.901 alpha=90.00 beta=90.00 gamma=138.01
Sites, in units of the cell vectors:
Ba  0.058  0.942  0.750
Ba  0.942  0.058  0.250
Co  0.347  0.653  0.561
Co  0.347  0.653  0.939
Co  0.653  0.347  0.061
Co  0.653  0.347  0.439
Ge  0.225  0.775  0.250
Ge  0.775  0.225  0.750
N  0.500  0.500  0.000
N  0.500  0.500  0.500